This entry pairs a crystal structure of BaSm2Sc2O7 with its calculated powder X-ray diffraction pattern. Radiation: CuKα. Structure: a crystal structure in Alexandria, relaxed with PBE.
Kinematic intensities with the Lorentz-polarization factor, no thermal factor.

Peak list (8 most intense, 15° ≤ 2θ ≤ 90°, by intensity)
30.9°, d = 2.889 Å, I = 100; 30.6°, d = 2.920 Å, I = 59; 54.6°, d = 1.680 Å, I = 50; 43.9°, d = 2.065 Å, I = 36; 22.0°, d = 4.046 Å, I = 27; 40.9°, d = 2.207 Å, I = 24; 26.4°, d = 3.371 Å, I = 16; 72.6°, d = 1.303 Å, I = 16

Structure:
Unit cell a=5.840 b=5.840 c=20.224 alpha=90.00 beta=90.00 gamma=90.00
Space group P4_2/mnm (No. 136)
Symmetry-distinct sites (fractional):
Ba: 0.239 0.239 0.000 [4 per cell]
Sm: 0.221 0.221 0.185 [8 per cell]
Sc: 0.241 0.241 0.396 [8 per cell]
O: 0.000 0.000 0.095 [4 per cell]
O: 0.000 0.000 0.368 [4 per cell]
O: 0.000 0.500 0.116 [8 per cell]
O: 0.181 0.819 0.211 [8 per cell]
O: 0.215 0.215 0.500 [4 per cell]

This entry pairs a crystal structure of CeEr2Fe2 with its calculated powder X-ray diffraction pattern. Radiation: CuKα. Structure: a crystal structure in Alexandria, relaxed with PBE.
Kinematic intensities with the Lorentz-polarization factor, no thermal factor.

Peak list (8 most intense, 15° ≤ 2θ ≤ 90°, by intensity)
36.0°, d = 2.492 Å, I = 100; 30.5°, d = 2.932 Å, I = 76; 28.7°, d = 3.111 Å, I = 76; 33.6°, d = 2.665 Å, I = 57; 33.9°, d = 2.645 Å, I = 48; 35.6°, d = 2.519 Å, I = 44; 52.7°, d = 1.737 Å, I = 41; 40.0°, d = 2.254 Å, I = 34

Structure:
Unit cell a=10.821 b=5.765 c=7.390 alpha=90.00 beta=109.27 gamma=90.00
Space group C2/c (No. 15)
Symmetry-distinct sites (fractional):
Ce: 0.000 0.022 0.250 [4 per cell]
Er: 0.161 0.394 0.641 [8 per cell]
Fe: 0.157 0.141 0.984 [8 per cell]

This entry pairs a crystal structure of Ce2UPa3As6 with its calculated powder X-ray diffraction pattern. Radiation: CuKα. Structure: a crystal structure in Alexandria, relaxed with PBE.
Kinematic intensities with the Lorentz-polarization factor, no thermal factor.

Peak list (8 most intense, 15° ≤ 2θ ≤ 90°, by intensity)
30.6°, d = 2.920 Å, I = 100; 43.8°, d = 2.068 Å, I = 38; 43.9°, d = 2.061 Å, I = 38; 26.4°, d = 3.378 Å, I = 18; 26.5°, d = 3.365 Å, I = 18; 54.5°, d = 1.682 Å, I = 13; 63.8°, d = 1.460 Å, I = 13; 72.3°, d = 1.307 Å, I = 12

Structure:
Unit cell a=17.993 b=4.117 c=8.281 alpha=90.00 beta=103.16 gamma=90.00
Space group C2/m (No. 12)
Symmetry-distinct sites (fractional):
Ce: 0.166 0.000 0.334 [4 per cell]
U: 0.000 0.500 0.000 [2 per cell]
Pa: 0.000 0.500 0.500 [2 per cell]
Pa: 0.167 0.000 0.836 [4 per cell]
As: 0.002 0.000 0.751 [4 per cell]
As: 0.165 0.500 0.589 [4 per cell]
As: 0.167 0.500 0.080 [4 per cell]

This entry pairs a crystal structure of CsZn2BiI8 with its calculated powder X-ray diffraction pattern. Radiation: CuKα. Structure: a crystal structure in Alexandria, relaxed with PBE.
Kinematic intensities with the Lorentz-polarization factor, no thermal factor.

Peak list (8 most intense, 15° ≤ 2θ ≤ 90°, by intensity)
28.6°, d = 3.119 Å, I = 100; 25.1°, d = 3.550 Å, I = 97; 40.0°, d = 2.256 Å, I = 60; 41.8°, d = 2.159 Å, I = 56; 17.2°, d = 5.148 Å, I = 38; 23.6°, d = 3.771 Å, I = 33; 48.6°, d = 1.873 Å, I = 26; 51.5°, d = 1.775 Å, I = 24

Structure:
Unit cell a=7.4776 b=7.4776 c=33.9390 alpha=90.00 beta=90.00 gamma=120.00
Space group R-3 (No. 148, hexagonal axes)
Symmetry-distinct sites (fractional):
Cs: 0.0000 0.0000 0.0000 [3 per cell]
Zn: 0.0000 0.0000 0.2463 [6 per cell]
Bi: 0.0000 0.0000 0.5000 [3 per cell]
I: 0.0000 0.0000 0.3218 [6 per cell]
I: 0.0009 0.6771 0.1125 [18 per cell]

This entry pairs a crystal structure of SrMg2PN4 with its calculated powder X-ray diffraction pattern. Radiation: CuKα. Structure: a crystal structure in Alexandria, relaxed with PBE.
Kinematic intensities with the Lorentz-polarization factor, no thermal factor.

Peak list (8 most intense, 15° ≤ 2θ ≤ 90°, by intensity)
34.0°, d = 2.634 Å, I = 100; 33.2°, d = 2.699 Å, I = 52; 29.6°, d = 3.018 Å, I = 38; 23.1°, d = 3.856 Å, I = 35; 32.5°, d = 2.755 Å, I = 29; 59.8°, d = 1.545 Å, I = 29; 36.6°, d = 2.454 Å, I = 27; 66.9°, d = 1.400 Å, I = 23

Structure:
Unit cell a=7.213 b=5.511 c=5.397 alpha=90.00 beta=90.00 gamma=90.00
Space group Pmn2_1 (No. 31)
Symmetry-distinct sites (fractional):
Sr: 0.000 0.174 0.000 [2 per cell]
Mg: 0.245 0.325 0.514 [4 per cell]
P: 0.000 0.805 0.528 [2 per cell]
N: 0.000 0.105 0.486 [2 per cell]
N: 0.000 0.743 0.829 [2 per cell]
N: 0.179 0.675 0.390 [4 per cell]

This entry pairs a crystal structure of Tm2TiCuO6 with its calculated powder X-ray diffraction pattern. Radiation: CuKα. Structure: a crystal structure in Alexandria, relaxed with PBE.
Kinematic intensities with the Lorentz-polarization factor, no thermal factor.

Peak list (8 most intense, 15° ≤ 2θ ≤ 90°, by intensity)
33.0°, d = 2.713 Å, I = 100; 28.9°, d = 3.093 Å, I = 50; 51.1°, d = 1.786 Å, I = 39; 15.7°, d = 5.644 Å, I = 38; 43.4°, d = 2.085 Å, I = 32; 31.7°, d = 2.822 Å, I = 27; 61.4°, d = 1.509 Å, I = 24; 30.0°, d = 2.983 Å, I = 23

Structure:
Unit cell a=3.5717 b=3.5717 c=11.2885 alpha=90.00 beta=90.00 gamma=120.00
Space group P-6m2 (No. 187)
Symmetry-distinct sites (fractional):
Tm: 0.0000 0.0000 0.2269 [2 per cell]
Ti: 0.6667 0.3333 0.5000 [1 per cell]
Cu: 0.3333 0.6667 0.0000 [1 per cell]
O: 0.0000 0.0000 0.0000 [1 per cell]
O: 0.0000 0.0000 0.5000 [1 per cell]
O: 0.3333 0.6667 0.1683 [2 per cell]
O: 0.6667 0.3333 0.3333 [2 per cell]

This entry pairs a crystal structure of Na11Hg4 with its calculated powder X-ray diffraction pattern. Radiation: CuKα. Structure: a crystal structure in Alexandria, relaxed with PBE.
Kinematic intensities with the Lorentz-polarization factor, no thermal factor.

Peak list (8 most intense, 15° ≤ 2θ ≤ 90°, by intensity)
26.2°, d = 3.400 Å, I = 100; 21.5°, d = 4.137 Å, I = 84; 33.9°, d = 2.648 Å, I = 76; 27.3°, d = 3.271 Å, I = 68; 31.8°, d = 2.814 Å, I = 53; 56.3°, d = 1.635 Å, I = 38; 29.3°, d = 3.051 Å, I = 37; 30.9°, d = 2.896 Å, I = 37

Structure:
Unit cell a=11.939 b=11.939 c=6.543 alpha=90.00 beta=90.00 gamma=90.00
Space group P4_2/mnm (No. 136)
Symmetry-distinct sites (fractional):
Na: 0.000 0.000 0.000 [2 per cell]
Na: 0.044 0.297 0.000 [8 per cell]
Na: 0.100 0.100 0.500 [4 per cell]
Na: 0.196 0.804 0.252 [8 per cell]
Hg: 0.032 0.345 0.500 [8 per cell]

This entry pairs a crystal structure of Ni7IrPt2 with its calculated powder X-ray diffraction pattern. Radiation: CuKα. Structure: a crystal structure in Alexandria, relaxed with PBE.
Kinematic intensities with the Lorentz-polarization factor, no thermal factor.

Peak list (8 most intense, 15° ≤ 2θ ≤ 90°, by intensity)
43.8°, d = 2.068 Å, I = 100; 27.7°, d = 3.220 Å, I = 59; 38.0°, d = 2.370 Å, I = 58; 46.1°, d = 1.971 Å, I = 50; 50.4°, d = 1.810 Å, I = 37; 48.6°, d = 1.874 Å, I = 32; 42.5°, d = 2.128 Å, I = 29; 25.3°, d = 3.524 Å, I = 23

Structure:
Unit cell a=11.271 b=3.620 c=7.188 alpha=90.00 beta=117.36 gamma=90.00
Space group C2/m (No. 12)
Symmetry-distinct sites (fractional):
Ni: 0.000 0.000 0.000 [2 per cell]
Ni: 0.081 0.000 0.767 [4 per cell]
Ni: 0.090 0.500 0.235 [4 per cell]
Ni: 0.169 0.000 0.502 [4 per cell]
Ir: 0.000 0.500 0.500 [2 per cell]
Pt: 0.245 0.000 0.179 [4 per cell]

This entry pairs a crystal structure of PrNdMg17 with its calculated powder X-ray diffraction pattern. Radiation: CuKα. Structure: a crystal structure in Alexandria, relaxed with PBE.
Kinematic intensities with the Lorentz-polarization factor, no thermal factor.

Peak list (8 most intense, 15° ≤ 2θ ≤ 90°, by intensity)
35.0°, d = 2.566 Å, I = 100; 24.6°, d = 3.617 Å, I = 79; 34.9°, d = 2.574 Å, I = 55; 30.1°, d = 2.972 Å, I = 51; 17.2°, d = 5.147 Å, I = 41; 50.2°, d = 1.817 Å, I = 26; 35.3°, d = 2.542 Å, I = 25; 15.3°, d = 5.796 Å, I = 23

Structure:
Unit cell a=10.2945 b=10.2945 c=15.2546 alpha=90.00 beta=90.00 gamma=120.00
Space group R3m (No. 160, hexagonal axes)
Symmetry-distinct sites (fractional):
Pr: 0.0000 0.0000 0.0000 [3 per cell]
Nd: 0.0000 0.0000 0.3396 [3 per cell]
Mg: 0.0000 0.0000 0.5704 [3 per cell]
Mg: 0.0000 0.0000 0.7684 [3 per cell]
Mg: 0.9997 0.3002 0.6696 [18 per cell]
Mg: 0.0078 0.5039 0.8208 [9 per cell]
Mg: 0.1669 0.3339 0.5030 [9 per cell]
Mg: 0.1710 0.3420 0.8517 [9 per cell]

What is the formula in the ninth record?
PrNdMg17